This entry pairs a crystal structure of CaFeS2 with its simulated powder diffractogram. Radiation: Cu Ka. Structure: a structure optimized by DFT (GGA-PBE).
Neutral-atom scattering factors, no anomalous dispersion.

Structure:
a b c (Å): 5.7765 5.7765 5.7765
angles (deg): 109.90 109.90 108.63
Positions (direct):
1 Ca 0.0000 0.0000 0.0000
2 Ca 0.7500 0.2500 0.5000
3 Fe 0.2500 0.7500 0.5000
4 Fe 0.5000 0.5000 0.0000
5 S 0.2161 0.6250 0.0911
6 S 0.3750 0.4661 0.5911
7 S 0.5339 0.1250 0.9089
8 S 0.8750 0.7839 0.4089

Largest 6 diffraction maxima, low angle first, 2θ from 10° to 90°:
d (Å)	I (rel.)
4.728	28.6
3.318	18.2
2.737	100.0
2.346	38.8
1.781	40.9
1.502	22.3



This entry pairs a crystal structure of CaFe2Sb with its simulated powder diffractogram. Radiation: Cu Ka. Structure: a structure optimized by DFT (GGA-PBE).
Neutral-atom scattering factors, no anomalous dispersion.

Structure:
a b c (Å): 3.2772 3.7603 6.8379
angles (deg): 90.00 102.93 90.00
Positions (direct):
1 Ca 0.0000 0.0000 0.0000
2 Fe 0.2409 0.0000 0.4225
3 Fe 0.7006 0.5000 0.3521
4 Sb 0.3545 0.5000 0.6892

Largest 6 diffraction maxima, low angle first, 2θ from 10° to 90°:
d (Å)	I (rel.)
6.664	100.0
3.275	53.5
2.494	71.5
2.424	45.6
2.170	45.4
2.148	44.4



This entry pairs a crystal structure of Ca12FeSb4 with its simulated powder diffractogram. Radiation: Cu Ka. Structure: a structure optimized by DFT (GGA-PBE).
Neutral-atom scattering factors, no anomalous dispersion.

Structure:
a b c (Å): 10.2020 10.2020 10.2020
angles (deg): 109.47 109.47 109.47
Positions (direct):
1 Ca 0.0892 0.2533 0.8359
2 Ca 0.1641 0.4174 0.2533
3 Ca 0.1641 0.9108 0.7467
4 Ca 0.2533 0.1641 0.4174
5 Ca 0.2533 0.8359 0.0892
6 Ca 0.4174 0.2533 0.1641
7 Ca 0.5826 0.7467 0.8359
8 Ca 0.7467 0.1641 0.9108
9 Ca 0.7467 0.8359 0.5826
10 Ca 0.8359 0.0892 0.2533
11 Ca 0.8359 0.5826 0.7467
12 Ca 0.9108 0.7467 0.1641
13 Fe 0.0000 0.0000 0.0000
14 Sb 0.0000 0.0000 0.5000
15 Sb 0.0000 0.5000 0.0000
16 Sb 0.5000 0.0000 0.0000
17 Sb 0.5000 0.5000 0.5000

Largest 6 diffraction maxima, low angle first, 2θ from 10° to 90°:
d (Å)	I (rel.)
5.890	100.0
4.165	47.0
2.945	44.5
2.634	67.9
2.405	65.5
1.574	38.2



This entry pairs a crystal structure of Ca2ScFe with its simulated powder diffractogram. Radiation: Cu Ka. Structure: a structure optimized by DFT (GGA-PBE).
Neutral-atom scattering factors, no anomalous dispersion.

Structure:
a b c (Å): 3.5146 3.5146 8.7231
angles (deg): 90.00 90.00 90.00
Positions (direct):
1 Ca 0.0000 0.0000 0.0000
2 Ca 0.5000 0.5000 0.3567
3 Sc 0.5000 0.5000 0.7133
4 Fe 0.0000 0.0000 0.5918

Largest 6 diffraction maxima, low angle first, 2θ from 10° to 90°:
d (Å)	I (rel.)
8.723	81.6
2.737	100.0
2.485	69.7
2.240	35.7
1.889	22.6
1.479	25.7



This entry pairs a crystal structure of CaFeTe with its simulated powder diffractogram. Radiation: Cu Ka. Structure: a structure optimized by DFT (GGA-PBE).
Neutral-atom scattering factors, no anomalous dispersion.

Structure:
a b c (Å): 5.6607 4.1179 6.5813
angles (deg): 90.00 98.10 90.00
Positions (direct):
1 Ca 0.1743 0.2500 0.2283
2 Ca 0.8257 0.7500 0.7717
3 Fe 0.4019 0.7500 0.9514
4 Fe 0.5981 0.2500 0.0486
5 Te 0.2652 0.2500 0.7276
6 Te 0.7348 0.7500 0.2724

Largest 6 diffraction maxima, low angle first, 2θ from 10° to 90°:
d (Å)	I (rel.)
4.580	100.0
3.318	77.9
2.428	50.5
2.290	31.5
2.233	69.4
2.107	35.9



This entry pairs a crystal structure of Ca4Tl2Fe with its simulated powder diffractogram. Radiation: Cu Ka. Structure: a structure optimized by DFT (GGA-PBE).
Neutral-atom scattering factors, no anomalous dispersion.

Structure:
a b c (Å): 8.9292 8.9292 8.9292
angles (deg): 145.06 145.06 50.25
Positions (direct):
1 Ca 0.0000 0.5000 0.5000
2 Ca 0.1770 0.1770 0.0000
3 Ca 0.5000 0.0000 0.5000
4 Ca 0.8230 0.8230 0.0000
5 Tl 0.3779 0.3779 0.0000
6 Tl 0.6221 0.6221 0.0000
7 Fe 0.0000 0.0000 0.0000

Largest 6 diffraction maxima, low angle first, 2θ from 10° to 90°:
d (Å)	I (rel.)
5.089	39.8
3.795	95.3
2.767	100.0
2.681	47.3
1.926	33.4
1.564	27.1



This entry pairs a crystal structure of CaFeW with its simulated powder diffractogram. Radiation: Cu Ka. Structure: a structure optimized by DFT (GGA-PBE).
Neutral-atom scattering factors, no anomalous dispersion.

Structure:
a b c (Å): 6.2244 6.2244 6.2244
angles (deg): 150.85 150.85 41.70
Positions (direct):
1 Ca 0.0000 0.0000 0.0000
2 Fe 0.3007 0.3007 0.0000
3 W 0.7137 0.7137 0.0000

Largest 6 diffraction maxima, low angle first, 2θ from 10° to 90°:
d (Å)	I (rel.)
5.817	100.0
3.025	40.8
2.437	83.3
2.215	47.1
2.070	29.7
1.868	27.8



This entry pairs a crystal structure of CaFeW3 with its simulated powder diffractogram. Radiation: Cu Ka. Structure: a structure optimized by DFT (GGA-PBE).
Neutral-atom scattering factors, no anomalous dispersion.

Structure:
a b c (Å): 4.5952 4.5952 4.5952
angles (deg): 90.00 90.00 90.00
Positions (direct):
1 Ca 0.0000 0.0000 0.0000
2 Fe 0.5000 0.5000 0.5000
3 W 0.0000 0.5000 0.5000
4 W 0.5000 0.0000 0.5000
5 W 0.5000 0.5000 0.0000

Largest 6 diffraction maxima, low angle first, 2θ from 10° to 90°:
d (Å)	I (rel.)
4.595	42.2
2.653	100.0
2.298	75.1
2.055	20.6
1.625	51.2
1.386	41.2



This entry pairs a crystal structure of CaYFe with its simulated powder diffractogram. Radiation: Cu Ka. Structure: a structure optimized by DFT (GGA-PBE).
Neutral-atom scattering factors, no anomalous dispersion.

Structure:
a b c (Å): 6.8791 6.8791 6.8791
angles (deg): 150.59 150.59 42.07
Positions (direct):
1 Ca 0.0000 0.0000 0.0000
2 Y 0.7386 0.7386 0.0000
3 Fe 0.3531 0.3531 0.0000

Largest 6 diffraction maxima, low angle first, 2θ from 10° to 90°:
d (Å)	I (rel.)
6.421	48.4
2.706	100.0
2.469	54.8
2.069	36.3
1.746	18.1
1.467	27.4



This entry pairs a crystal structure of Ca2ZnFe with its simulated powder diffractogram. Radiation: Cu Ka. Structure: a structure optimized by DFT (GGA-PBE).
Neutral-atom scattering factors, no anomalous dispersion.

Structure:
a b c (Å): 4.2803 5.9127 5.9127
angles (deg): 42.19 90.00 90.00
Positions (direct):
1 Ca 0.0000 0.0000 0.0000
2 Ca 0.5000 0.2880 0.2880
3 Zn 0.0000 0.7007 0.7007
4 Fe 0.5000 0.5898 0.5898

Largest 6 diffraction maxima, low angle first, 2θ from 10° to 90°:
d (Å)	I (rel.)
5.517	61.9
3.971	43.0
2.911	100.0
2.783	71.8
2.333	92.2
2.319	57.8



This entry pairs a crystal structure of Ca2Ga13 with its simulated powder diffractogram. Radiation: Cu Ka. Structure: a structure optimized by DFT (GGA-PBE).
Neutral-atom scattering factors, no anomalous dispersion.

Structure:
a b c (Å): 7.6935 7.6935 7.6935
angles (deg): 61.80 61.80 61.80
Positions (direct):
1 Ca 0.2470 0.2470 0.2470
2 Ca 0.7530 0.7530 0.7530
3 Ga 0.0105 0.0105 0.6657
4 Ga 0.0105 0.6657 0.0105
5 Ga 0.2391 0.2391 0.6380
6 Ga 0.2391 0.6380 0.2391
7 Ga 0.3343 0.9895 0.9895
8 Ga 0.3620 0.7609 0.7609
9 Ga 0.5000 0.5000 0.5000
10 Ga 0.6380 0.2391 0.2391
11 Ga 0.6657 0.0105 0.0105
12 Ga 0.7609 0.3620 0.7609
13 Ga 0.7609 0.7609 0.3620
14 Ga 0.9895 0.3343 0.9895
15 Ga 0.9895 0.9895 0.3343

Largest 6 diffraction maxima, low angle first, 2θ from 10° to 90°:
d (Å)	I (rel.)
3.365	93.9
2.517	30.4
2.260	100.0
2.200	42.4
2.140	99.6
2.098	37.3



This entry pairs a crystal structure of Ca4Ga3 with its simulated powder diffractogram. Radiation: Cu Ka. Structure: a structure optimized by DFT (GGA-PBE).
Neutral-atom scattering factors, no anomalous dispersion.

Structure:
a b c (Å): 9.0130 9.0130 9.0130
angles (deg): 33.34 33.34 33.34
Positions (direct):
1 Ca 0.1242 0.1242 0.1242
2 Ca 0.3748 0.3748 0.3748
3 Ca 0.6252 0.6252 0.6252
4 Ca 0.8758 0.8758 0.8758
5 Ga 0.2479 0.2479 0.2479
6 Ga 0.5000 0.5000 0.5000
7 Ga 0.7521 0.7521 0.7521

Largest 6 diffraction maxima, low angle first, 2θ from 10° to 90°:
d (Å)	I (rel.)
8.504	23.0
2.598	100.0
2.586	99.1
1.833	33.6
1.502	16.6
1.495	33.1



This entry pairs a crystal structure of Ca3Ga5 with its simulated powder diffractogram. Radiation: Cu Ka. Structure: a structure optimized by DFT (GGA-PBE).
Neutral-atom scattering factors, no anomalous dispersion.

Structure:
a b c (Å): 5.8361 5.8361 15.0162
angles (deg): 90.00 90.00 134.68
Positions (direct):
1 Ca 0.0888 0.9112 0.6098
2 Ca 0.0888 0.9112 0.8902
3 Ca 0.3692 0.6308 0.7500
4 Ca 0.6308 0.3692 0.2500
5 Ca 0.9112 0.0888 0.1098
6 Ca 0.9112 0.0888 0.3902
7 Ga 0.2079 0.7921 0.1000
8 Ga 0.2079 0.7921 0.4000
9 Ga 0.3378 0.6622 0.2500
10 Ga 0.3836 0.6164 0.5338
11 Ga 0.3836 0.6164 0.9662
12 Ga 0.6164 0.3836 0.0338
13 Ga 0.6164 0.3836 0.4662
14 Ga 0.6622 0.3378 0.7500
15 Ga 0.7921 0.2079 0.6000
16 Ga 0.7921 0.2079 0.9000

Largest 6 diffraction maxima, low angle first, 2θ from 10° to 90°:
d (Å)	I (rel.)
7.508	23.7
2.784	82.9
2.758	36.5
2.447	50.4
2.248	100.0
1.906	23.6



This entry pairs a crystal structure of CaGa5 with its simulated powder diffractogram. Radiation: Cu Ka. Structure: a structure optimized by DFT (GGA-PBE).
Neutral-atom scattering factors, no anomalous dispersion.

Structure:
a b c (Å): 5.8485 5.8485 5.8485
angles (deg): 137.79 106.11 88.96
Positions (direct):
1 Ca 0.0000 0.0000 0.0000
2 Ga 0.1423 0.3382 0.8042
3 Ga 0.4660 0.6618 0.8042
4 Ga 0.5000 0.0000 0.5000
5 Ga 0.5340 0.3382 0.1958
6 Ga 0.8577 0.6618 0.1958

Largest 6 diffraction maxima, low angle first, 2θ from 10° to 90°:
d (Å)	I (rel.)
5.377	33.4
2.688	43.4
2.568	89.4
2.321	100.0
2.106	37.4
1.793	38.4



This entry pairs a crystal structure of Ca3Ga4 with its simulated powder diffractogram. Radiation: Cu Ka. Structure: a structure optimized by DFT (GGA-PBE).
Neutral-atom scattering factors, no anomalous dispersion.

Structure:
a b c (Å): 10.0692 10.0692 10.0692
angles (deg): 156.46 154.92 34.66
Positions (direct):
1 Ca 0.0000 0.0000 0.0000
2 Ca 0.3117 0.8117 0.5000
3 Ca 0.6883 0.1883 0.5000
4 Ga 0.1392 0.6392 0.5000
5 Ga 0.4344 0.4344 0.0000
6 Ga 0.5656 0.5656 0.0000
7 Ga 0.8608 0.3608 0.5000

Largest 6 diffraction maxima, low angle first, 2θ from 10° to 90°:
d (Å)	I (rel.)
4.017	52.7
2.858	100.0
2.807	52.3
2.541	38.1
2.326	70.3
2.187	76.1